# Li5Pm4Tl6
Theoretical powder diffractogram, Cu Kα (λ = 1.5418 Å). Input: a crystal structure in Alexandria, relaxed with GGA-PBE.
Neutral-atom scattering factors, no anomalous dispersion.

Cell and atoms:
a b c (Å): 10.4130 10.4130 15.1444
angles (deg): 90.00 90.00 152.81
Sites, in units of the cell vectors:
Li 0.0021 0.9979 0.7500
Li 0.1388 0.8612 0.2500
Li 0.1656 0.8344 0.5567
Li 0.1656 0.8344 0.9433
Li 0.2886 0.7114 0.2500
Li 0.7114 0.2886 0.7500
Li 0.8344 0.1656 0.0567
Li 0.8344 0.1656 0.4433
Li 0.8612 0.1388 0.7500
Li 0.9979 0.0021 0.2500
Pm 0.3309 0.6691 0.6088
Pm 0.3309 0.6691 0.8912
Pm 0.4377 0.5623 0.1049
Pm 0.4377 0.5623 0.3951
Pm 0.5623 0.4377 0.6049
Pm 0.5623 0.4377 0.8951
Pm 0.6691 0.3309 0.1088
Pm 0.6691 0.3309 0.3912
Tl 0.0601 0.9399 0.0643
Tl 0.0601 0.9399 0.4357
Tl 0.1362 0.8638 0.7500
Tl 0.2696 0.7304 0.0810
Tl 0.2696 0.7304 0.4190
Tl 0.4458 0.5542 0.7500
Tl 0.5542 0.4458 0.2500
Tl 0.7304 0.2696 0.5810
Tl 0.7304 0.2696 0.9190
Tl 0.8638 0.1362 0.2500
Tl 0.9399 0.0601 0.5643
Tl 0.9399 0.0601 0.9357

Main lines, most intense first (2θ = 15–90°):
d = 2.654 Å, 33.8°, rel. 100
d = 3.462 Å, 25.7°, rel. 53
d = 2.448 Å, 36.7°, rel. 48
d = 2.525 Å, 35.6°, rel. 42
d = 3.118 Å, 28.6°, rel. 41
d = 3.056 Å, 29.2°, rel. 40
d = 1.758 Å, 52.0°, rel. 38
d = 3.511 Å, 25.4°, rel. 35
d = 2.599 Å, 34.5°, rel. 24
d = 2.737 Å, 32.7°, rel. 21
d = 1.424 Å, 65.6°, rel. 18
d = 1.782 Å, 51.3°, rel. 16